Computed powder XRD pattern
Compound: K3Be2
Radiation: λ = 1.5418 Å (Cu Kα)
Structure: a structure optimized by DFT (GGA-PBE)
Peak positions follow from Bragg's law for the DFT cell and can differ from measured ones.

a b c (Å): 5.1454 5.1454 29.1232
angles (deg): 90.00 90.00 120.00
Space group R-3m (No. 166, hexagonal axes)
Symmetry-distinct sites (fractional):
K: 0.0000 0.0000 0.0000 (multiplicity 3)
K: 0.0000 0.0000 0.2319 (multiplicity 6)
Be: 0.0000 0.0000 0.3435 (multiplicity 6)

Peak list (10 most intense, 5° ≤ 2θ ≤ 70°, most intense first)
d (Å), intensity, h k l
3.801, 100.0, 1 0 4
2.573, 54.6, 1 1 0
3.539, 50.9, 0 1 5
2.014, 39.0, 1 1 9
2.819, 32.8, 0 1 8
3.236, 29.1, 0 0 9
9.708, 24.6, 0 0 3
4.261, 24.0, 0 1 2
4.405, 23.6, 1 0 1
2.130, 18.1, 0 2 4



Computed powder XRD pattern
Compound: TbBi2F11
Radiation: λ = 1.5418 Å (Cu Kα)
Structure: a structure optimized by DFT (GGA-PBE)
Peak positions follow from Bragg's law for the DFT cell and can differ from measured ones.

a b c (Å): 8.232 10.330 10.952
angles (deg): 90.00 90.00 90.00
Space group Ibam (No. 72)
Symmetry-distinct sites (fractional):
Tb: 0.000 0.000 0.250 (multiplicity 4)
Bi: 0.145 0.319 0.000 (multiplicity 8)
F: 0.000 0.500 0.000 (multiplicity 4)
F: 0.098 0.178 0.143 (multiplicity 16)
F: 0.131 0.286 0.500 (multiplicity 8)
F: 0.218 0.070 0.364 (multiplicity 16)

Peak list (10 most intense, 5° ≤ 2θ ≤ 70°, most intense first)
d (Å), intensity, h k l
4.171, 100.0, 1 1 2
3.610, 98.9, 2 1 1
3.757, 82.6, 0 2 2
4.063, 65.3, 1 2 1
1.998, 49.5, 3 3 2
5.476, 41.8, 0 0 2
2.074, 35.2, 1 3 4
3.177, 31.8, 1 3 0
2.042, 26.7, 1 4 3
2.640, 26.2, 2 1 3